Theoretical X-ray powder pattern
Compound: Li2ScCd5
Radiation: λ = 1.5418 Å (Cu Kα)
Structure: the GGA-PBE geometry in Alexandria
No peak broadening, texture or thermal motion is included.

Largest 10 diffraction maxima, by intensity, 2θ = 5–70°:
2θ/deg	intensity	h k l
36.35	1000	1 1 4
39.44	426	2 0 0
69.52	275	3 1 4
27.61	236	1 1 0
30.01	224	1 1 2
23.18	154	0 0 4
63.30	147	2 0 8
57.01	138	2 2 0
53.80	106	2 0 6
46.25	97	2 0 4

Structure:
Cell lengths 4.5691, 4.5691, 15.3466 Å; angles 90.00, 90.00, 90.00 degrees
Atoms (fractional coordinates):
1 Li 0.0000 0.0000 0.2475
2 Li 0.0000 0.0000 0.7525
3 Li 0.5000 0.5000 0.2525
4 Li 0.5000 0.5000 0.7475
5 Sc 0.0000 0.0000 0.0000
6 Sc 0.5000 0.5000 0.5000
7 Cd 0.0000 0.0000 0.5000
8 Cd 0.0000 0.5000 0.1375
9 Cd 0.0000 0.5000 0.3625
10 Cd 0.0000 0.5000 0.6375
11 Cd 0.0000 0.5000 0.8625
12 Cd 0.5000 0.0000 0.1375
13 Cd 0.5000 0.0000 0.3625
14 Cd 0.5000 0.0000 0.6375
15 Cd 0.5000 0.0000 0.8625
16 Cd 0.5000 0.5000 0.0000